Calculated X-ray powder pattern of GdY2Sn3Pb4 for a wavelength of 1.5418 Å, from a cell relaxed with GGA-PBE.

Most intense lines, 10° ≤ 2θ ≤ 90°, sorted by position:
hkl, two_theta, I (rel.)
1 5 1, 32.45, 100.0
0 10 0, 33.33, 21.6
0 0 2, 39.24, 15.4
2 0 0, 40.07, 14.6
0 10 2, 52.41, 12.2
2 10 0, 53.07, 11.8
2 0 2, 57.33, 10.4
1 15 1, 59.02, 15.5
1 5 3, 66.87, 12.9
3 5 1, 67.99, 23.6

Atomic structure:
```
data_GdY2Sn3Pb4
_symmetry_space_group_name_H-M 'C m m m'
_symmetry_Int_Tables_number 65
_symmetry_space_group_name_Hall '-C 2 2'
_cell_length_a 4.5008
_cell_length_b 26.8804
_cell_length_c 4.5920
_cell_angle_alpha 90.00
_cell_angle_beta 90.00
_cell_angle_gamma 90.00
loop_
_atom_site_label
_atom_site_type_symbol
_atom_site_fract_x
_atom_site_fract_y
_atom_site_fract_z
_atom_site_occupancy
Gd1 Gd 0.0000 0.0000 0.0000 1
Y1 Y 0.0000 0.3066 0.5000 1
Sn1 Sn 0.0000 0.2109 0.0000 1
Sn2 Sn 0.0000 0.5000 0.5000 1
Pb1 Pb 0.0000 0.0976 0.5000 1
Pb2 Pb 0.0000 0.4014 0.0000 1
```



Calculated X-ray powder pattern of YPu2Cu9 for a wavelength of 1.5418 Å, from a cell relaxed with GGA-PBE.

Most intense lines, 10° ≤ 2θ ≤ 90°, sorted by position:
hkl, two_theta, I (rel.)
0 0 3, 10.41, 38.1
0 0 6, 20.91, 10.6
1 0 7, 32.40, 28.1
1 1 0, 36.68, 33.0
1 1 3, 38.24, 13.8
0 0 12, 42.59, 100.0
0 2 1, 42.77, 18.2
0 2 13, 64.74, 10.7
0 3 6, 70.13, 18.0
2 2 0, 77.98, 17.3

Atomic structure:
```
data_YPu2Cu9
_symmetry_space_group_name_H-M 'R -3 m'
_symmetry_Int_Tables_number 166
_symmetry_space_group_name_Hall '-R 3 2"'
_cell_length_a 4.8996
_cell_length_b 4.8996
_cell_length_c 25.4890
_cell_angle_alpha 90.00
_cell_angle_beta 90.00
_cell_angle_gamma 120.00
loop_
_atom_site_label
_atom_site_type_symbol
_atom_site_fract_x
_atom_site_fract_y
_atom_site_fract_z
_atom_site_occupancy
Y1 Y 0.0000 0.0000 0.0000 1
Pu1 Pu 0.0000 0.0000 0.1550 1
Cu1 Cu 0.0000 0.0000 0.3317 1
Cu2 Cu 0.0000 0.0000 0.5000 1
Cu3 Cu 0.0030 0.5015 0.0810 1
```



Calculated X-ray powder pattern of Ni17As for a wavelength of 1.5418 Å, from a cell relaxed with GGA-PBE.

Most intense lines, 10° ≤ 2θ ≤ 90°, sorted by position:
hkl, two_theta, I (rel.)
0 0 4, 11.34, 21.0
0 0 15, 43.48, 30.9
2 0 4, 43.66, 20.3
2 0 5, 44.56, 100.0
2 0 6, 45.65, 38.6
0 0 16, 46.55, 18.8
0 2 10, 51.61, 59.9
0 2 11, 53.46, 30.1
2 0 20, 75.22, 14.4
2 2 0, 76.79, 27.8

Atomic structure:
```
data_Ni17As
_symmetry_space_group_name_H-M 'P -3 m 1'
_symmetry_Int_Tables_number 164
_symmetry_space_group_name_Hall '-P 3 2"'
_cell_length_a 4.9663
_cell_length_b 4.9663
_cell_length_c 31.2176
_cell_angle_alpha 90.00
_cell_angle_beta 90.00
_cell_angle_gamma 120.00
loop_
_atom_site_label
_atom_site_type_symbol
_atom_site_fract_x
_atom_site_fract_y
_atom_site_fract_z
_atom_site_occupancy
Ni1 Ni 0.0000 0.0000 0.0000 1
Ni2 Ni 0.0000 0.0000 0.1950 1
Ni3 Ni 0.0000 0.5000 0.0000 1
Ni4 Ni 0.9999 0.4999 0.1950 1
Ni5 Ni 0.1667 0.3334 0.1300 1
Ni6 Ni 0.1666 0.3332 0.7399 1
Ni7 Ni 0.1667 0.3333 0.9350 1
Ni8 Ni 0.3333 0.6667 0.0650 1
Ni9 Ni 0.3333 0.6667 0.8700 1
As1 As 0.3333 0.6667 0.2602 1
```



Calculated X-ray powder pattern of HfPd for a wavelength of 1.5418 Å, from a cell relaxed with GGA-PBE.

Most intense lines, 10° ≤ 2θ ≤ 90°, sorted by position:
hkl, two_theta, I (rel.)
0 2 1, 26.70, 14.1
0 4 0, 34.88, 34.0
1 1 1, 35.20, 100.0
1 3 0, 37.90, 23.2
0 4 1, 40.65, 23.3
0 0 2, 41.14, 34.4
1 3 1, 43.33, 49.1
0 4 2, 55.00, 18.5
1 3 2, 57.17, 14.3
1 7 2, 84.64, 16.7

Atomic structure:
```
data_HfPd
_symmetry_space_group_name_H-M 'C m c m'
_symmetry_Int_Tables_number 63
_symmetry_space_group_name_Hall '-C 2c 2'
_cell_length_a 3.2888
_cell_length_b 10.2903
_cell_length_c 4.3885
_cell_angle_alpha 90.00
_cell_angle_beta 90.00
_cell_angle_gamma 90.00
loop_
_atom_site_label
_atom_site_type_symbol
_atom_site_fract_x
_atom_site_fract_y
_atom_site_fract_z
_atom_site_occupancy
Hf1 Hf 0.0000 0.1432 0.2500 1
Pd1 Pd 0.0000 0.4109 0.2500 1
```



Calculated X-ray powder pattern of Tl2PdI2Cl2 for a wavelength of 1.5418 Å, from a cell relaxed with GGA-PBE.

Most intense lines, 10° ≤ 2θ ≤ 90°, sorted by position:
hkl, two_theta, I (rel.)
0 0 1, 11.60, 24.3
0 1 1, 16.43, 35.4
1 0 1, 23.29, 27.1
1 1 1, 26.09, 100.0
1 2 0, 30.93, 38.7
1 0 2, 31.04, 33.3
0 2 2, 33.21, 62.3
2 0 0, 40.90, 16.9
1 3 1, 42.63, 25.8
2 2 2, 53.65, 31.6

Atomic structure:
```
data_Tl2PdI2Cl2
_symmetry_space_group_name_H-M 'P m m 2'
_symmetry_Int_Tables_number 25
_symmetry_space_group_name_Hall 'P 2 -2'
_cell_length_a 4.4128
_cell_length_b 7.6537
_cell_length_c 7.6069
_cell_angle_alpha 90.00
_cell_angle_beta 90.00
_cell_angle_gamma 90.00
loop_
_atom_site_label
_atom_site_type_symbol
_atom_site_fract_x
_atom_site_fract_y
_atom_site_fract_z
_atom_site_occupancy
Tl1 Tl 0.0000 0.0000 0.0000 1
Tl2 Tl 0.0000 0.5000 0.4257 1
Pd1 Pd 0.5000 0.0000 0.4577 1
I1 I 0.5000 0.2411 0.6999 1
Cl1 Cl 0.5000 0.2202 0.2363 1
```



Calculated X-ray powder pattern of B2MoW for a wavelength of 1.5418 Å, from a cell relaxed with GGA-PBE.

Most intense lines, 10° ≤ 2θ ≤ 90°, sorted by position:
hkl, two_theta, I (rel.)
0 0 4, 20.85, 25.4
1 0 1, 28.97, 32.6
1 0 3, 32.64, 94.4
1 0 5, 39.05, 88.2
1 1 2, 42.14, 100.0
0 0 8, 42.44, 29.0
1 0 7, 47.29, 33.0
2 0 0, 58.95, 29.6
1 1 10, 69.60, 29.1
2 1 5, 73.00, 28.1

Atomic structure:
```
data_B2MoW
_symmetry_space_group_name_H-M 'I 41 m d'
_symmetry_Int_Tables_number 109
_symmetry_space_group_name_Hall 'I 4bw -2'
_cell_length_a 3.1333
_cell_length_b 3.1333
_cell_length_c 17.0401
_cell_angle_alpha 90.00
_cell_angle_beta 90.00
_cell_angle_gamma 90.00
loop_
_atom_site_label
_atom_site_type_symbol
_atom_site_fract_x
_atom_site_fract_y
_atom_site_fract_z
_atom_site_occupancy
B1 B 0.0000 0.0000 0.0000 1
B2 B 0.0000 0.0000 0.3113 1
Mo1 Mo 0.0000 0.0000 0.4583 1
W1 W 0.0000 0.0000 0.8522 1
```